[1]
Starting from the GGA-PBE geometry in Alexandria, the PXRD pattern of Cu3AgF6 was calculated for copper Kα.

Main lines, in order of rising 2θ (10 to 90 degrees two-theta):
2θ (°)  I_rel
29.3  92
32.1  100
32.8  22
37.0  28
50.2  64
60.3  29

abc: 6.5851 6.5851 3.2445
angles: 90.00 90.00 112.20
Positions (direct):
Cu: 0.0000 0.0000 0.0000
Cu: 0.0000 0.5000 0.5000
Cu: 0.5000 0.0000 0.5000
Ag: 0.5000 0.5000 0.0000
F: 0.0642 0.3149 0.0000
F: 0.3149 0.0642 0.0000
F: 0.3188 0.6812 0.5000
F: 0.6812 0.3188 0.5000
F: 0.6851 0.9358 0.0000
F: 0.9358 0.6851 0.0000


[2]
Starting from the GGA-PBE geometry in Alexandria, the PXRD pattern of CuAg3F8 was calculated for copper Kα.

Main lines, in order of rising 2θ (10 to 90 degrees two-theta):
2θ (°)  I_rel
18.2  73
22.8  100
30.4  60
31.5  38
43.9  47
54.3  39

abc: 6.4715 6.4715 6.4437
angles: 90.00 90.00 130.99
Positions (direct):
Cu: 0.0000 0.0000 0.0000
Ag: 0.0000 0.0000 0.5000
Ag: 0.0000 0.5000 0.2473
Ag: 0.5000 0.0000 0.7527
F: 0.1955 0.8045 0.5000
F: 0.2093 0.7907 0.0000
F: 0.2252 0.2413 0.2030
F: 0.2413 0.2252 0.7970
F: 0.7587 0.7748 0.7970
F: 0.7748 0.7587 0.2030
F: 0.7907 0.2093 0.0000
F: 0.8045 0.1955 0.5000